No. 1
Calculated XRD peak list of Nb6GaSb for Cu Kα X-rays, from a crystal structure in Alexandria, relaxed with PBE.

Main lines, in order of rising 2θ (10° ≤ 2θ ≤ 90°):
- 34.09°, d 2.630, rel. 35
- 38.26°, d 2.352, rel. 100
- 42.08°, d 2.147, rel. 77
- 63.80°, d 1.459, rel. 22
- 66.51°, d 1.406, rel. 38
- 84.38°, d 1.148, rel. 19

Atomic structure:
a b c (Å): 5.2603 5.2603 5.2603
angles (deg): 90.00 90.00 90.00
Space group Pm-3 (No. 200)
One atom of each set of equivalent atoms:
Nb 0.0000 0.2482 0.5000 (multiplicity 6)
Ga 0.0000 0.0000 0.0000 (multiplicity 1)
Sb 0.5000 0.5000 0.5000 (multiplicity 1)

=====

No. 2
Calculated XRD peak list of NbGaSe4 for Cu Kα X-rays, from a crystal structure in Alexandria, relaxed with PBE.

Main lines, in order of rising 2θ (10° ≤ 2θ ≤ 90°):
- 27.55°, d 3.238, rel. 43
- 30.85°, d 2.898, rel. 100
- 31.15°, d 2.871, rel. 89
- 33.90°, d 2.645, rel. 47
- 34.07°, d 2.631, rel. 77
- 46.58°, d 1.950, rel. 63

Atomic structure:
a b c (Å): 6.4006 6.4743 6.4774
angles (deg): 90.00 90.61 90.00
Space group P2_1/c (No. 14)
One atom of each set of equivalent atoms:
Nb 0.0000 0.0000 0.0000 (multiplicity 2)
Ga 0.5000 0.0000 0.5000 (multiplicity 2)
Se 0.1202 0.1397 0.3582 (multiplicity 4)
Se 0.3640 0.6196 0.3920 (multiplicity 4)

=====

No. 3
Calculated XRD peak list of Nb4GaSi for Cu Kα X-rays, from a crystal structure in Alexandria, relaxed with PBE.

Main lines, in order of rising 2θ (10° ≤ 2θ ≤ 90°):
- 36.50°, d 2.462, rel. 100
- 40.27°, d 2.240, rel. 20
- 45.40°, d 1.998, rel. 21
- 45.92°, d 1.976, rel. 28
- 63.15°, d 1.472, rel. 23
- 73.97°, d 1.281, rel. 16

Atomic structure:
a b c (Å): 6.2500 6.2500 5.1957
angles (deg): 90.00 90.00 90.00
Space group P4/mcc (No. 124)
One atom of each set of equivalent atoms:
Nb 0.1519 0.3343 0.0000 (multiplicity 8)
Ga 0.5000 0.5000 0.2500 (multiplicity 2)
Si 0.0000 0.0000 0.2500 (multiplicity 2)

=====

No. 4
Calculated XRD peak list of Nb5Ga2Sn for Cu Kα X-rays, from a crystal structure in Alexandria, relaxed with PBE.

Main lines, in order of rising 2θ (10° ≤ 2θ ≤ 90°):
- 34.84°, d 2.575, rel. 22
- 36.67°, d 2.451, rel. 100
- 36.90°, d 2.436, rel. 14
- 39.59°, d 2.276, rel. 31
- 41.44°, d 2.179, rel. 59
- 77.28°, d 1.235, rel. 14

Atomic structure:
a b c (Å): 6.8899 6.8899 12.1323
angles (deg): 90.00 90.00 90.00
Space group I4/mcm (No. 140)
One atom of each set of equivalent atoms:
Nb 0.0000 0.0000 0.0000 (multiplicity 4)
Nb 0.1615 0.3385 0.1502 (multiplicity 16)
Ga 0.1339 0.3661 0.5000 (multiplicity 8)
Sn 0.0000 0.0000 0.2500 (multiplicity 4)

=====

No. 5
Calculated XRD peak list of TaNb3Ga for Cu Kα X-rays, from a crystal structure in Alexandria, relaxed with PBE.

Main lines, in order of rising 2θ (10° ≤ 2θ ≤ 90°):
- 10.95°, d 8.079, rel. 21
- 35.81°, d 2.508, rel. 23
- 37.26°, d 2.413, rel. 42
- 37.74°, d 2.383, rel. 49
- 38.03°, d 2.366, rel. 100
- 41.05°, d 2.199, rel. 30

Atomic structure:
a b c (Å): 12.3402 10.7689 5.4967
angles (deg): 90.00 98.01 90.00
Space group C2/c (No. 15)
One atom of each set of equivalent atoms:
Ta 0.0000 0.0637 0.2500 (multiplicity 4)
Ta 0.0000 0.1908 0.7500 (multiplicity 4)
Nb 0.1000 0.4292 0.6556 (multiplicity 8)
Nb 0.2031 0.1359 0.5431 (multiplicity 8)
Nb 0.2083 0.1224 0.0370 (multiplicity 8)
Ga 0.0947 0.3176 0.1732 (multiplicity 8)

=====

No. 6
Calculated XRD peak list of TaNb4Ga3 for Cu Kα X-rays, from a crystal structure in Alexandria, relaxed with PBE.

Main lines, in order of rising 2θ (10° ≤ 2θ ≤ 90°):
- 35.90°, d 2.501, rel. 49
- 39.02°, d 2.308, rel. 88
- 39.15°, d 2.301, rel. 71
- 40.06°, d 2.251, rel. 100
- 43.04°, d 2.102, rel. 64
- 76.08°, d 1.251, rel. 37

Atomic structure:
a b c (Å): 10.3227 10.3227 5.1413
angles (deg): 90.00 90.00 90.00
Space group I4/mcm (No. 140)
One atom of each set of equivalent atoms:
Ta 0.0000 0.5000 0.2500 (multiplicity 4)
Nb 0.0761 0.2226 0.0000 (multiplicity 16)
Ga 0.0000 0.0000 0.2500 (multiplicity 4)
Ga 0.1651 0.3349 0.5000 (multiplicity 8)